[1]
Structure and theoretical XRD peak list of Er4RhPb (a DFT-relaxed cell (PBE, Alexandria); Cu Kα (λ = 1.5418 Å)).
Lines closer than 0.1° are merged.

Top 8 peaks for 10 to 80 degrees two-theta, low angle first:
| d (Å) | intensity |
| --- | --- |
| 3.069 | 22 |
| 2.805 | 100 |
| 2.771 | 31 |
| 2.727 | 54 |
| 2.636 | 53 |
| 2.623 | 61 |
| 2.322 | 21 |
| 1.679 | 22 |

Crystal structure
```
data_Er4RhPb
_cell_length_a 5.6539
_cell_length_b 6.7142
_cell_length_c 8.5743
_cell_angle_alpha 90.00
_cell_angle_beta 101.41
_cell_angle_gamma 90.00
_space_group_name_H-M_alt 'P 1 21/m 1'
_space_group_IT_number 11
loop_
_space_group_symop_operation_xyz
'x,y,z'
'-x,-y,-z'
'-x,y+1/2,-z'
'x,-y+1/2,z'
loop_
_atom_site_label
_atom_site_type_symbol
_atom_site_fract_x
_atom_site_fract_y
_atom_site_fract_z
Er1 Er 0.1381 0.2500 0.0613
Er2 Er 0.2109 0.7500 0.3495
Er3 Er 0.3303 0.5062 0.7681
Rh1 Rh 0.3525 0.7500 0.0435
Pb1 Pb 0.2261 0.2500 0.4312
```

---

[2]
Structure and theoretical XRD peak list of YTh3Au7 (a DFT-relaxed cell (PBE, Alexandria); Cu Kα (λ = 1.5418 Å)).
Lines closer than 0.1° are merged.

Top 8 peaks for 10 to 80 degrees two-theta, low angle first:
| d (Å) | intensity |
| --- | --- |
| 2.846 | 100 |
| 2.670 | 32 |
| 2.637 | 53 |
| 2.304 | 22 |
| 2.270 | 30 |
| 2.112 | 34 |
| 2.104 | 28 |
| 1.928 | 34 |

Crystal structure
```
data_YTh3Au7
_cell_length_a 3.8554
_cell_length_b 21.8295
_cell_length_c 12.8992
_cell_angle_alpha 90.00
_cell_angle_beta 90.00
_cell_angle_gamma 90.00
_space_group_name_H-M_alt 'C m c m'
_space_group_IT_number 63
_space_group_name_Hall '-C 2c 2'
loop_
_atom_site_label
_atom_site_type_symbol
_atom_site_fract_x
_atom_site_fract_y
_atom_site_fract_z
Y1 Y 0.0000 0.0145 0.2500
Th1 Th 0.0000 0.1364 0.5561
Th2 Th 0.0000 0.2161 0.2500
Au1 Au 0.0000 0.2746 0.5698
Au2 Au 0.0000 0.3715 0.2500
Au3 Au 0.0000 0.3973 0.6376
Au4 Au 0.0000 0.4696 0.0897
```